Computed powder diffraction line list of InAgHgPb for Cu Kα, 1.54184 Å, from a GGA-PBE-relaxed structure.

The 10 most intense peaks (2θ = 10–90°), low angle first:
| 2θ (°) | I/Imax | (hkl) |
| --- | --- | --- |
| 28.91 | 22 | 0 0 3 |
| 33.50 | 100 | 1 1 2 |
| 38.88 | 49 | 2 0 0 |
| 49.17 | 10 | 2 0 3 |
| 56.15 | 29 | 2 2 0 |
| 57.11 | 10 | 1 1 5 |
| 64.38 | 9 | 2 2 3 |
| 66.99 | 32 | 1 3 2 |
| 70.40 | 8 | 2 2 -4 |
| 84.26 | 10 | 2 0 7 |

Cell and atoms:
```
data_InAgHgPb
_chemical_formula_sum 'In2 Ag2 Hg2 Pb2'
_space_group_name_H-M_alt 'C 1 m 1'
_space_group_IT_number 8
_space_group_name_Hall 'C -2y'
_cell_length_a 4.6335
_cell_length_b 4.6331
_cell_length_c 9.2643
_cell_angle_alpha 90.00
_cell_angle_beta 90.03
_cell_angle_gamma 90.00
loop_
_atom_site_label
_atom_site_fract_x
_atom_site_fract_y
_atom_site_fract_z
_atom_site_occupancy
In1 0.0000 0.0000 0.0000 1
Ag1 0.4986 0.0000 0.2136 1
Hg1 0.4992 0.5000 0.4229 1
Pb1 0.0051 0.5000 0.6996 1
```

Computed powder diffraction line list of RbIn2AgHg8 for Cu Kα, 1.54184 Å, from a GGA-PBE-relaxed structure.

The 10 most intense peaks (2θ = 10–90°), low angle first:
| 2θ (°) | I/Imax | (hkl) |
| --- | --- | --- |
| 29.17 | 100 | 2 2 0 |
| 29.66 | 53 | 0 0 3 |
| 30.00 | 67 | 0 2 2 |
| 31.24 | 73 | 3 1 -2 |
| 32.17 | 48 | 2 2 -2 |
| 32.56 | 68 | 2 2 1 |
| 35.55 | 59 | 1 1 3 |
| 37.87 | 80 | 2 2 -3 |
| 41.48 | 40 | 4 0 1 |
| 45.78 | 40 | 0 4 0 |

Cell and atoms:
```
data_RbIn2AgHg8
_chemical_formula_sum 'Rb2 In4 Ag2 Hg16'
_space_group_name_H-M_alt 'C 1 2/m 1'
_space_group_IT_number 12
_space_group_name_Hall '-C 2y'
_cell_length_a 10.0681
_cell_length_b 7.9277
_cell_length_c 9.4373
_cell_angle_alpha 90.00
_cell_angle_beta 106.80
_cell_angle_gamma 90.00
loop_
_atom_site_label
_atom_site_fract_x
_atom_site_fract_y
_atom_site_fract_z
_atom_site_occupancy
Rb1 0.0000 0.0000 0.0000 1
In1 0.2458 0.0000 0.7385 1
Ag1 0.0000 0.0000 0.5000 1
Hg1 0.0323 0.2767 0.3236 1
Hg2 0.1325 0.5000 0.9358 1
Hg3 0.2183 0.5000 0.6172 1
```

Computed powder diffraction line list of Sr3InAg6Hg2 for Cu Kα, 1.54184 Å, from a GGA-PBE-relaxed structure.

The 10 most intense peaks (2θ = 10–90°), low angle first:
| 2θ (°) | I/Imax | (hkl) |
| --- | --- | --- |
| 19.20 | 21 | 1 0 1 |
| 28.09 | 17 | 0 0 3 |
| 29.27 | 36 | 1 1 0 |
| 32.89 | 49 | 0 1 3 |
| 34.92 | 100 | 1 1 2 |
| 35.25 | 71 | 2 0 1 |
| 37.75 | 18 | 0 0 4 |
| 54.25 | 15 | 1 2 3 |
| 55.63 | 27 | 0 3 2 |
| 60.71 | 27 | 2 2 0 |

Cell and atoms:
```
data_Sr3InAg6Hg2
_chemical_formula_sum 'Sr3 In1 Ag6 Hg2'
_space_group_name_H-M_alt 'P -3 m 1'
_space_group_IT_number 164
_space_group_name_Hall '-P 3 2"'
_cell_length_a 6.1018
_cell_length_b 6.1018
_cell_length_c 9.5311
_cell_angle_alpha 90.00
_cell_angle_beta 90.00
_cell_angle_gamma 120.00
loop_
_atom_site_label
_atom_site_fract_x
_atom_site_fract_y
_atom_site_fract_z
_atom_site_occupancy
Sr1 0.0000 0.0000 0.0000 1
Sr2 0.3333 0.6667 0.6038 1
In1 0.0000 0.0000 0.5000 1
Ag1 0.1778 0.3557 0.2700 1
Hg1 0.3333 0.6667 0.9773 1
```

Computed powder diffraction line list of Sr2InAgHg6 for Cu Kα, 1.54184 Å, from a GGA-PBE-relaxed structure.

The 10 most intense peaks (2θ = 10–90°), low angle first:
| 2θ (°) | I/Imax | (hkl) |
| --- | --- | --- |
| 16.20 | 43 | 2 0 0 |
| 28.25 | 99 | 2 2 2 |
| 32.74 | 100 | 4 0 0 |
| 36.73 | 23 | 4 2 0 |
| 46.98 | 73 | 4 4 0 |
| 55.72 | 46 | 6 2 2 |
| 58.43 | 26 | 4 4 4 |
| 75.79 | 19 | 6 6 2 |
| 78.12 | 33 | 8 4 0 |
| 87.31 | 26 | 8 4 4 |

Cell and atoms:
```
data_Sr2InAgHg6
_chemical_formula_sum 'Sr8 In4 Ag4 Hg24'
_space_group_name_H-M_alt 'F m -3 m'
_space_group_IT_number 225
_space_group_name_Hall '-F 4 2 3'
_cell_length_a 10.9421
_cell_length_b 10.9421
_cell_length_c 10.9421
_cell_angle_alpha 90.00
_cell_angle_beta 90.00
_cell_angle_gamma 90.00
loop_
_atom_site_label
_atom_site_fract_x
_atom_site_fract_y
_atom_site_fract_z
_atom_site_occupancy
Sr1 0.2500 0.2500 0.2500 1
In1 0.0000 0.0000 0.0000 1
Ag1 0.0000 0.0000 0.5000 1
Hg1 0.0000 0.0000 0.2544 1
```

Computed powder diffraction line list of Sr3In2Ag2Hg4 for Cu Kα, 1.54184 Å, from a GGA-PBE-relaxed structure.

The 10 most intense peaks (2θ = 10–90°), low angle first:
| 2θ (°) | I/Imax | (hkl) |
| --- | --- | --- |
| 20.49 | 23 | 1 0 0 |
| 23.78 | 30 | 0 1 2 |
| 24.04 | 26 | 0 0 4 |
| 31.79 | 78 | 0 1 4 |
| 35.88 | 100 | 1 1 0 |
| 42.13 | 21 | 1 0 6 |
| 43.65 | 33 | 1 1 4 |
| 48.68 | 24 | 2 0 4 |
| 61.93 | 23 | 1 2 4 |
| 64.48 | 18 | 3 0 0 |

Cell and atoms:
```
data_Sr3In2Ag2Hg4
_chemical_formula_sum 'Sr3 In2 Ag2 Hg4'
_space_group_name_H-M_alt 'P -3 m 1'
_space_group_IT_number 164
_space_group_name_Hall '-P 3 2"'
_cell_length_a 5.0060
_cell_length_b 5.0060
_cell_length_c 14.8072
_cell_angle_alpha 90.00
_cell_angle_beta 90.00
_cell_angle_gamma 120.00
loop_
_atom_site_label
_atom_site_fract_x
_atom_site_fract_y
_atom_site_fract_z
_atom_site_occupancy
Sr1 0.0000 0.0000 0.0000 1
Sr2 0.0000 0.0000 0.2651 1
In1 0.3333 0.6667 0.5733 1
Ag1 0.3333 0.6667 0.1396 1
Hg1 0.3333 0.6667 0.3732 1
Hg2 0.3333 0.6667 0.8687 1
```

Computed powder diffraction line list of In3Ag3Hg2Te8 for Cu Kα, 1.54184 Å, from a GGA-PBE-relaxed structure.

The 10 most intense peaks (2θ = 10–90°), low angle first:
| 2θ (°) | I/Imax | (hkl) |
| --- | --- | --- |
| 23.47 | 100 | 1 1 2 |
| 38.68 | 27 | 2 2 0 |
| 38.86 | 53 | 2 0 4 |
| 45.74 | 33 | 3 1 2 |
| 46.05 | 16 | 1 1 6 |
| 55.86 | 9 | 4 0 0 |
| 61.67 | 13 | 3 1 6 |
| 70.13 | 18 | 4 2 4 |
| 70.48 | 9 | 2 2 8 |
| 74.98 | 8 | 5 1 2 |

Cell and atoms:
```
data_In3Ag3Hg2Te8
_chemical_formula_sum 'In3 Ag3 Hg2 Te8'
_space_group_name_H-M_alt 'P -4'
_space_group_IT_number 81
_space_group_name_Hall 'P -4'
_cell_length_a 6.5836
_cell_length_b 6.5836
_cell_length_c 13.0527
_cell_angle_alpha 90.00
_cell_angle_beta 90.00
_cell_angle_gamma 90.00
loop_
_atom_site_label
_atom_site_fract_x
_atom_site_fract_y
_atom_site_fract_z
_atom_site_occupancy
In1 0.0000 0.0000 0.0000 1
In2 0.0000 0.5000 0.2482 1
Ag1 0.0000 0.5000 0.7537 1
Ag2 0.5000 0.5000 0.0000 1
Hg1 0.0000 0.0000 0.5000 1
Hg2 0.5000 0.5000 0.5000 1
Te1 0.2474 0.2545 0.6296 1
Te2 0.2514 0.7447 0.8765 1
```

Computed powder diffraction line list of Ag2HgIr for Cu Kα, 1.54184 Å, from a GGA-PBE-relaxed structure.

The 10 most intense peaks (2θ = 10–90°), low angle first:
| 2θ (°) | I/Imax | (hkl) |
| --- | --- | --- |
| 17.96 | 13 | 0 0 1 |
| 37.51 | 100 | 1 1 1 |
| 37.64 | 49 | 2 0 -2 |
| 38.00 | 48 | 4 0 0 |
| 43.36 | 67 | 3 1 -1 |
| 44.59 | 30 | 2 0 2 |
| 63.70 | 20 | 1 1 -3 |
| 64.19 | 20 | 5 1 1 |
| 75.37 | 13 | 2 2 -2 |
| 75.60 | 13 | 4 2 0 |

Cell and atoms:
```
data_Ag2HgIr
_chemical_formula_sum 'Ag4 Hg2 Ir2'
_space_group_name_H-M_alt 'C 1 m 1'
_space_group_IT_number 8
_space_group_name_Hall 'C -2y'
_cell_length_a 9.6601
_cell_length_b 2.9692
_cell_length_c 5.0355
_cell_angle_alpha 90.00
_cell_angle_beta 101.30
_cell_angle_gamma 90.00
loop_
_atom_site_label
_atom_site_fract_x
_atom_site_fract_y
_atom_site_fract_z
_atom_site_occupancy
Ag1 0.0000 0.0000 0.0000 1
Ag2 0.2468 0.0000 0.7711 1
Hg1 0.4892 0.0000 0.4882 1
Ir1 0.2424 0.5000 0.2666 1
```

Computed powder diffraction line list of K4AgHg3 for Cu Kα, 1.54184 Å, from a GGA-PBE-relaxed structure.

The 10 most intense peaks (2θ = 10–90°), low angle first:
| 2θ (°) | I/Imax | (hkl) |
| --- | --- | --- |
| 14.13 | 62 | 0 0 2 |
| 18.96 | 100 | 0 1 1 |
| 22.91 | 30 | 1 0 2 |
| 26.22 | 59 | 1 1 1 |
| 33.22 | 96 | 1 1 3 |
| 33.87 | 50 | 1 0 4 |
| 35.58 | 28 | 0 2 0 |
| 36.34 | 26 | 2 0 0 |
| 41.30 | 30 | 2 1 1 |
| 49.94 | 33 | 1 2 4 |

Cell and atoms:
```
data_K4AgHg3
_chemical_formula_sum 'K4 Ag1 Hg3'
_space_group_name_H-M_alt 'P m m 2'
_space_group_IT_number 25
_space_group_name_Hall 'P 2 -2'
_cell_length_a 4.9444
_cell_length_b 5.0467
_cell_length_c 12.5316
_cell_angle_alpha 90.00
_cell_angle_beta 90.00
_cell_angle_gamma 90.00
loop_
_atom_site_label
_atom_site_fract_x
_atom_site_fract_y
_atom_site_fract_z
_atom_site_occupancy
K1 0.0000 0.0000 0.0000 1
K2 0.0000 0.5000 0.4869 1
K3 0.5000 0.0000 0.7022 1
K4 0.5000 0.5000 0.2076 1
Ag1 0.0000 0.0000 0.2877 1
Hg1 0.0000 0.5000 0.7784 1
Hg2 0.5000 0.0000 0.4124 1
Hg3 0.5000 0.5000 0.9191 1
```

Which formula does entry 2 have?
RbIn2AgHg8